The following is a theoretical powder X-ray diffraction pattern of Mg4Si3. It was derived from the PBE geometry in the Materials Project, using Cu Kα, 1.54184 Å.
Neutral-atom scattering factors, no anomalous dispersion.

Principal peaks in the range 15° ≤ 2θ ≤ 90°, by angle:
d_spacing, Position (°2θ), Rel. int., index
2.569, 34.93, 956, 1 2 0
2.462, 36.49, 794, 0 1 -3
2.448, 36.71, 834, 0 0 3
2.381, 37.79, 1000, -1 2 2
2.367, 38.01, 718, 2 0 -2
2.236, 40.33, 908, 1 2 1

Structural model:
abc: 5.2513 7.0939 7.6818
angles: 98.39 103.02 100.48
Space group P1 (No. 1)
Symmetry-distinct sites (fractional):
Mg (0.0000, 0.0000, 0.0000) [1 per cell]
Mg (0.0295, 0.6901, 0.3504) [1 per cell]
Mg (0.1324, 0.4632, 0.9960) [1 per cell]
Mg (0.3142, 0.4435, 0.6519) [1 per cell]
Mg (0.3531, 0.8862, 0.7630) [1 per cell]
Mg (0.5039, 0.3878, 0.3164) [1 per cell]
Mg (0.5560, 0.9273, 0.2056) [1 per cell]
Mg (0.7728, 0.1705, 0.6211) [1 per cell]
Si (0.2059, 0.0820, 0.4188) [1 per cell]
Si (0.5737, 0.2405, 0.9791) [1 per cell]
Si (0.5926, 0.7592, 0.5086) [1 per cell]
Si (0.6765, 0.6172, 0.9816) [1 per cell]
Si (0.8808, 0.6187, 0.7153) [1 per cell]
Si (0.9501, 0.2902, 0.2669) [1 per cell]